# Na8B15C
Calculated XRD peak list, Cu Kα (weighted mean of Kα1 and Kα2). Input: a structure optimized by DFT (GGA-PBE).
Kinematic intensities with the Lorentz-polarization factor, no thermal factor.

The 10 most intense peaks (15° ≤ 2θ ≤ 90°), most intense first:
| (hkl) | two_theta | I (rel.) |
| --- | --- | --- |
| 3 1 2 | 40.7 | 100 |
| 2 0 4 | 39.9 | 51 |
| 8 0 0 | 41.5 | 36 |
| 1 1 -2 | 34.8 | 20 |
| 3 1 -6 | 61.3 | 18 |
| 11 1 2 | 75.2 | 16 |
| 2 2 4 | 77.1 | 11 |
| 2 0 -4 | 34.0 | 11 |
| 7 1 2 | 55.2 | 11 |
| 11 1 -6 | 76.7 | 9 |

Cell: 18.1869 2.9578 10.5599 Å, 90.00 106.91 90.00°
Space group Cm (No. 8)
Symmetry-distinct sites (fractional):
Na 0.0000 0.0000 0.0000 [2 per cell]
Na 0.9997 0.0000 0.5002 [2 per cell]
Na 0.9998 0.5000 0.2511 [2 per cell]
Na 0.0013 0.5000 0.7507 [2 per cell]
Na 0.2475 0.0000 0.6237 [2 per cell]
Na 0.2494 0.0000 0.1261 [2 per cell]
Na 0.2488 0.5000 0.8743 [2 per cell]
Na 0.2495 0.5000 0.3754 [2 per cell]
B 0.1242 0.0000 0.2265 [2 per cell]
B 0.1237 0.0000 0.7258 [2 per cell]
B 0.1242 0.5000 0.1489 [2 per cell]
B 0.1237 0.5000 0.6484 [2 per cell]
B 0.1253 0.0000 0.3990 [2 per cell]
B 0.1247 0.0000 0.8993 [2 per cell]
B 0.1251 0.5000 0.4764 [2 per cell]
B 0.1249 0.5000 0.9769 [2 per cell]
B 0.3744 0.0000 0.0089 [2 per cell]
B 0.3744 0.0000 0.8520 [2 per cell]
B 0.3745 0.5000 0.1118 [2 per cell]
B 0.3744 0.5000 0.7512 [2 per cell]
B 0.3746 0.0000 0.3665 [2 per cell]
B 0.3746 0.0000 0.5309 [2 per cell]
B 0.3746 0.5000 0.2721 [2 per cell]
C 0.3745 0.5000 0.6044 [2 per cell]


# Na10B13C7
Calculated XRD peak list, Cu Kα (weighted mean of Kα1 and Kα2). Input: a structure optimized by DFT (GGA-PBE).
Kinematic intensities with the Lorentz-polarization factor, no thermal factor.

The 10 most intense peaks (15° ≤ 2θ ≤ 90°), most intense first:
| (hkl) | two_theta | I (rel.) |
| --- | --- | --- |
| 2 5 1 | 42.1 | 100 |
| 2 0 2 | 41.8 | 51 |
| 4 0 0 | 42.4 | 38 |
| 0 5 1 | 36.1 | 18 |
| 0 5 3 | 64.5 | 18 |
| 4 5 3 | 80.3 | 17 |
| 6 5 1 | 77.4 | 12 |
| 2 10 2 | 80.4 | 11 |
| 4 5 1 | 56.9 | 10 |
| 0 0 2 | 35.8 | 9 |

Cell: 8.5222 14.3249 5.0171 Å, 90.00 90.00 90.00°
Space group Amm2 (No. 38)
Symmetry-distinct sites (fractional):
Na 0.2473 0.1000 0.0000 [8 per cell]
Na 0.2486 0.0000 0.4981 [4 per cell]
Na 0.2493 0.2001 0.4990 [8 per cell]
B 0.0000 0.0000 0.1841 [2 per cell]
B 0.0000 0.0000 0.8312 [2 per cell]
B 0.0000 0.1056 0.6638 [4 per cell]
B 0.0000 0.1998 0.1663 [4 per cell]
B 0.5000 0.0000 0.8556 [2 per cell]
B 0.5000 0.1002 0.6606 [4 per cell]
B 0.5000 0.1007 0.3205 [4 per cell]
B 0.5000 0.2043 0.8428 [4 per cell]
C 0.0000 0.1012 0.3325 [4 per cell]
C 0.0000 0.2028 0.8281 [4 per cell]
C 0.5000 0.0000 0.1637 [2 per cell]
C 0.5000 0.2001 0.1648 [4 per cell]


# Na5B8C2
Calculated XRD peak list, Cu Kα (weighted mean of Kα1 and Kα2). Input: a structure optimized by DFT (GGA-PBE).
Kinematic intensities with the Lorentz-polarization factor, no thermal factor.

The 10 most intense peaks (15° ≤ 2θ ≤ 90°), most intense first:
| (hkl) | two_theta | I (rel.) |
| --- | --- | --- |
| 5 1 0 | 41.7 | 100 |
| 8 0 -4 | 42.0 | 37 |
| 2 0 -6 | 40.2 | 25 |
| 6 0 2 | 40.3 | 25 |
| 3 1 6 | 62.3 | 18 |
| 1 1 2 | 35.8 | 18 |
| 11 1 -8 | 76.5 | 13 |
| 2 0 4 | 34.2 | 12 |
| 6 2 2 | 79.7 | 10 |
| 5 1 -10 | 77.9 | 9 |

Cell: 17.9910 2.8515 13.5884 Å, 90.00 112.45 90.00°
Space group Cm (No. 8)
Symmetry-distinct sites (fractional):
Na 0.0000 0.0000 0.0000 [2 per cell]
Na 0.0001 0.0000 0.4962 [2 per cell]
Na 0.1006 0.5000 0.1986 [2 per cell]
Na 0.1015 0.5000 0.6960 [2 per cell]
Na 0.1990 0.0000 0.3973 [2 per cell]
Na 0.2017 0.0000 0.8990 [2 per cell]
Na 0.2985 0.5000 0.5967 [2 per cell]
Na 0.3026 0.5000 0.0976 [2 per cell]
Na 0.4000 0.0000 0.7981 [2 per cell]
Na 0.4018 0.0000 0.2970 [2 per cell]
B 0.0322 0.0000 0.8107 [2 per cell]
B 0.0673 0.5000 0.3806 [2 per cell]
B 0.0710 0.5000 0.8891 [2 per cell]
B 0.1359 0.5000 0.0181 [2 per cell]
B 0.1613 0.0000 0.5687 [2 per cell]
B 0.1728 0.0000 0.0910 [2 per cell]
B 0.2314 0.0000 0.7097 [2 per cell]
B 0.2380 0.0000 0.2230 [2 per cell]
B 0.2710 0.5000 0.7888 [2 per cell]
B 0.3258 0.5000 0.3988 [2 per cell]
B 0.3654 0.0000 0.4774 [2 per cell]
B 0.3645 0.0000 0.9754 [2 per cell]
B 0.4281 0.0000 0.6026 [2 per cell]
B 0.4338 0.0000 0.1149 [2 per cell]
B 0.4695 0.5000 0.6848 [2 per cell]
B 0.4739 0.5000 0.1947 [2 per cell]
C 0.0361 0.0000 0.3182 [2 per cell]
C 0.1307 0.5000 0.5072 [2 per cell]
C 0.2663 0.5000 0.2809 [2 per cell]
C 0.3334 0.5000 0.9130 [2 per cell]


# Na10B13C7
Calculated XRD peak list, Cu Kα (weighted mean of Kα1 and Kα2). Input: a structure optimized by DFT (GGA-PBE).
Kinematic intensities with the Lorentz-polarization factor, no thermal factor.

The 10 most intense peaks (15° ≤ 2θ ≤ 90°), most intense first:
| (hkl) | two_theta | I (rel.) |
| --- | --- | --- |
| 7 1 -1 | 42.3 | 100 |
| 10 0 0 | 41.5 | 51 |
| 8 0 -4 | 42.4 | 38 |
| 9 1 3 | 64.3 | 18 |
| 3 1 1 | 36.3 | 17 |
| 10 2 0 | 81.0 | 11 |
| 6 0 2 | 35.5 | 10 |
| 11 1 -3 | 57.1 | 10 |
| 17 1 -1 | 80.1 | 9 |
| 1 1 7 | 80.2 | 9 |

Cell: 22.8282 2.8346 9.9002 Å, 90.00 107.62 90.00°
Space group Cm (No. 8)
Symmetry-distinct sites (fractional):
Na 0.0000 0.0000 0.0000 [2 per cell]
Na 0.0007 0.5000 0.4949 [2 per cell]
Na 0.1000 0.5000 0.2003 [2 per cell]
Na 0.1008 0.0000 0.6975 [2 per cell]
Na 0.2003 0.0000 0.4010 [2 per cell]
Na 0.2009 0.5000 0.8975 [2 per cell]
Na 0.3001 0.5000 0.5990 [2 per cell]
Na 0.3014 0.0000 0.0984 [2 per cell]
Na 0.3990 0.0000 0.8003 [2 per cell]
Na 0.4003 0.5000 0.2985 [2 per cell]
B 0.0160 0.0000 0.2801 [2 per cell]
B 0.0173 0.5000 0.7824 [2 per cell]
B 0.0827 0.5000 0.9134 [2 per cell]
B 0.1163 0.5000 0.4795 [2 per cell]
B 0.1217 0.0000 0.9914 [2 per cell]
B 0.1894 0.0000 0.1261 [2 per cell]
B 0.2160 0.0000 0.6799 [2 per cell]
B 0.2810 0.5000 0.3102 [2 per cell]
B 0.3160 0.5000 0.8807 [2 per cell]
B 0.3183 0.0000 0.3850 [2 per cell]
B 0.3855 0.0000 0.5194 [2 per cell]
B 0.4159 0.0000 0.0807 [2 per cell]
B 0.4767 0.5000 0.7013 [2 per cell]
C 0.0832 0.0000 0.4128 [2 per cell]
C 0.1831 0.5000 0.6134 [2 per cell]
C 0.2184 0.5000 0.1842 [2 per cell]
C 0.2828 0.0000 0.8142 [2 per cell]
C 0.3828 0.5000 0.0142 [2 per cell]
C 0.4159 0.5000 0.5802 [2 per cell]
C 0.4826 0.0000 0.2145 [2 per cell]


# Na5B8C2
Calculated XRD peak list, Cu Kα (weighted mean of Kα1 and Kα2). Input: a structure optimized by DFT (GGA-PBE).
Kinematic intensities with the Lorentz-polarization factor, no thermal factor.

The 10 most intense peaks (15° ≤ 2θ ≤ 90°), most intense first:
| (hkl) | two_theta | I (rel.) |
| --- | --- | --- |
| 8 0 -4 | 41.8 | 100 |
| 7 1 -1 | 41.9 | 57 |
| 2 0 4 | 40.0 | 28 |
| 10 0 0 | 40.1 | 28 |
| 9 1 3 | 62.2 | 20 |
| 3 1 1 | 36.1 | 19 |
| 6 0 2 | 34.0 | 16 |
| 11 1 -3 | 56.4 | 11 |
| 10 2 0 | 80.3 | 11 |
| 0 2 0 | 66.2 | 10 |

Cell: 23.4199 2.8226 10.1454 Å, 90.00 106.09 90.00°
Space group Cm (No. 8)
Symmetry-distinct sites (fractional):
Na 0.0000 0.0000 0.0000 [2 per cell]
Na 0.0006 0.5000 0.5020 [2 per cell]
Na 0.0991 0.0000 0.6997 [2 per cell]
Na 0.0996 0.5000 0.2018 [2 per cell]
Na 0.1978 0.5000 0.9003 [2 per cell]
Na 0.1995 0.0000 0.4045 [2 per cell]
Na 0.3000 0.5000 0.6017 [2 per cell]
Na 0.3006 0.0000 0.1034 [2 per cell]
Na 0.4005 0.0000 0.8010 [2 per cell]
Na 0.4021 0.5000 0.3030 [2 per cell]
B 0.0090 0.5000 0.7682 [2 per cell]
B 0.0753 0.5000 0.9020 [2 per cell]
B 0.0786 0.0000 0.4110 [2 per cell]
B 0.1158 0.0000 0.9842 [2 per cell]
B 0.1189 0.5000 0.4915 [2 per cell]
B 0.1795 0.0000 0.1115 [2 per cell]
B 0.1847 0.5000 0.6218 [2 per cell]
B 0.2225 0.5000 0.1984 [2 per cell]
B 0.2748 0.0000 0.8011 [2 per cell]
B 0.2857 0.5000 0.3245 [2 per cell]
B 0.3176 0.5000 0.8856 [2 per cell]
B 0.3274 0.0000 0.4063 [2 per cell]
B 0.3808 0.5000 0.0118 [2 per cell]
B 0.4176 0.5000 0.5854 [2 per cell]
B 0.4229 0.0000 0.0964 [2 per cell]
B 0.4882 0.0000 0.2287 [2 per cell]
C 0.0189 0.0000 0.2917 [2 per cell]
C 0.2163 0.0000 0.6847 [2 per cell]
C 0.3867 0.0000 0.5235 [2 per cell]
C 0.4787 0.5000 0.7073 [2 per cell]


# Na5B8C2
Calculated XRD peak list, Cu Kα (weighted mean of Kα1 and Kα2). Input: a structure optimized by DFT (GGA-PBE).
Kinematic intensities with the Lorentz-polarization factor, no thermal factor.

The 10 most intense peaks (15° ≤ 2θ ≤ 90°), most intense first:
| (hkl) | two_theta | I (rel.) |
| --- | --- | --- |
| 7 1 -1 | 41.7 | 100 |
| 8 0 -4 | 42.0 | 37 |
| 2 0 4 | 40.2 | 25 |
| 10 0 0 | 40.3 | 25 |
| 9 1 3 | 62.3 | 18 |
| 3 1 1 | 35.8 | 18 |
| 6 0 2 | 34.2 | 12 |
| 10 2 0 | 79.7 | 10 |
| 1 1 7 | 77.8 | 9 |
| 17 1 -1 | 78.1 | 8 |

Cell: 23.2814 2.8519 10.1012 Å, 90.00 106.20 90.00°
Space group Cm (No. 8)
Symmetry-distinct sites (fractional):
Na 0.0000 0.0000 0.0000 [2 per cell]
Na 0.0006 0.5000 0.4969 [2 per cell]
Na 0.0991 0.5000 0.2031 [2 per cell]
Na 0.1012 0.0000 0.6989 [2 per cell]
Na 0.1999 0.0000 0.3999 [2 per cell]
Na 0.2023 0.5000 0.8969 [2 per cell]
Na 0.2992 0.5000 0.6006 [2 per cell]
Na 0.2998 0.0000 0.0984 [2 per cell]
Na 0.3989 0.5000 0.2973 [2 per cell]
Na 0.3998 0.0000 0.8002 [2 per cell]
B 0.0167 0.0000 0.2826 [2 per cell]
B 0.0225 0.5000 0.7936 [2 per cell]
B 0.0853 0.5000 0.9187 [2 per cell]
B 0.0865 0.0000 0.4211 [2 per cell]
B 0.1246 0.0000 0.9979 [2 per cell]
B 0.1801 0.5000 0.6086 [2 per cell]
B 0.2123 0.5000 0.1742 [2 per cell]
B 0.2196 0.0000 0.6882 [2 per cell]
B 0.2784 0.5000 0.3046 [2 per cell]
B 0.2894 0.0000 0.8284 [2 per cell]
B 0.3147 0.0000 0.3781 [2 per cell]
B 0.3791 0.0000 0.5082 [2 per cell]
B 0.3834 0.5000 0.0168 [2 per cell]
B 0.4181 0.5000 0.5860 [2 per cell]
B 0.4764 0.0000 0.2024 [2 per cell]
B 0.4814 0.5000 0.7119 [2 per cell]
C 0.1178 0.5000 0.4832 [2 per cell]
C 0.1835 0.0000 0.1168 [2 per cell]
C 0.3200 0.5000 0.8904 [2 per cell]
C 0.4147 0.0000 0.0792 [2 per cell]


# Na10B17C3
Calculated XRD peak list, Cu Kα (weighted mean of Kα1 and Kα2). Input: a structure optimized by DFT (GGA-PBE).
Kinematic intensities with the Lorentz-polarization factor, no thermal factor.

The 10 most intense peaks (15° ≤ 2θ ≤ 90°), most intense first:
| (hkl) | two_theta | I (rel.) |
| --- | --- | --- |
| 0 0 4 | 41.5 | 100 |
| 1 3 3 | 41.6 | 59 |
| 2 1 3 | 39.8 | 58 |
| 2 1 1 | 33.8 | 15 |
| 3 -1 1 | 61.6 | 11 |
| 1 -2 0 | 35.7 | 11 |
| 3 4 2 | 62.0 | 10 |
| 3 -1 5 | 77.1 | 10 |
| 3 4 6 | 77.4 | 10 |
| 1 3 1 | 35.9 | 9 |

Cell: 5.3003 7.5874 9.1989 Å, 75.86 73.31 69.88°
Space group P1 (No. 1)
Symmetry-distinct sites (fractional):
Na 0.0000 0.0000 0.0000 [1 per cell]
Na 0.0011 0.4990 0.5018 [1 per cell]
Na 0.1961 0.5989 0.0052 [1 per cell]
Na 0.1983 0.0989 0.5055 [1 per cell]
Na 0.3959 0.1973 0.0086 [1 per cell]
Na 0.3980 0.6983 0.5089 [1 per cell]
Na 0.5990 0.2993 0.5014 [1 per cell]
Na 0.6040 0.7998 0.9982 [1 per cell]
Na 0.7961 0.8972 0.5108 [1 per cell]
Na 0.7974 0.3978 0.0119 [1 per cell]
B 0.0306 0.8406 0.7554 [1 per cell]
B 0.0327 0.3492 0.2549 [1 per cell]
B 0.1272 0.7496 0.2553 [1 per cell]
B 0.2182 0.4484 0.7554 [1 per cell]
B 0.2566 0.9371 0.2552 [1 per cell]
B 0.3531 0.3507 0.2552 [1 per cell]
B 0.3578 0.8396 0.7554 [1 per cell]
B 0.4213 0.0582 0.7552 [1 per cell]
B 0.4371 0.5660 0.2553 [1 per cell]
B 0.5481 0.4472 0.7553 [1 per cell]
B 0.5829 0.9354 0.2553 [1 per cell]
B 0.6356 0.1570 0.2553 [1 per cell]
B 0.6720 0.6376 0.7552 [1 per cell]
B 0.7470 0.0596 0.7554 [1 per cell]
B 0.7658 0.5589 0.2550 [1 per cell]
B 0.8623 0.2591 0.7553 [1 per cell]
B 0.9682 0.1291 0.2550 [1 per cell]
C 0.1594 0.2533 0.7553 [1 per cell]
C 0.8343 0.7488 0.2553 [1 per cell]
C 0.9641 0.6439 0.7552 [1 per cell]


# Na5B8C2
Calculated XRD peak list, Cu Kα (weighted mean of Kα1 and Kα2). Input: a structure optimized by DFT (GGA-PBE).
Kinematic intensities with the Lorentz-polarization factor, no thermal factor.

The 10 most intense peaks (15° ≤ 2θ ≤ 90°), most intense first:
| (hkl) | two_theta | I (rel.) |
| --- | --- | --- |
| 5 1 0 | 41.1 | 100 |
| 0 2 2 | 41.3 | 51 |
| 0 0 4 | 42.1 | 36 |
| 5 1 -2 | 35.2 | 20 |
| 5 3 -2 | 63.4 | 17 |
| 5 3 2 | 79.0 | 17 |
| 10 0 0 | 78.7 | 14 |
| 5 1 4 | 76.3 | 12 |
| 10 2 -2 | 78.1 | 12 |
| 5 1 2 | 56.0 | 11 |

Cell: 14.7685 5.0716 10.4235 Å, 90.00 124.52 90.00°
Space group C2 (No. 5)
Symmetry-distinct sites (fractional):
Na 0.0016 0.9999 0.2534 [4 per cell]
Na 0.0985 0.4964 0.7458 [4 per cell]
Na 0.1007 0.5017 0.2523 [4 per cell]
Na 0.1983 0.9971 0.7457 [4 per cell]
Na 0.2006 0.0000 0.2509 [4 per cell]
B 0.0000 0.1828 0.5000 [2 per cell]
B 0.0000 0.1869 0.0000 [2 per cell]
B 0.0000 0.8308 0.5000 [2 per cell]
B 0.0000 0.8479 0.0000 [2 per cell]
B 0.0952 0.6729 0.0002 [4 per cell]
B 0.1048 0.3366 0.0001 [4 per cell]
B 0.1061 0.6616 0.5000 [4 per cell]
B 0.1973 0.1538 0.0000 [4 per cell]
B 0.2000 0.1647 0.5000 [4 per cell]
B 0.2031 0.8152 0.9998 [4 per cell]
C 0.1015 0.3319 0.5000 [4 per cell]
C 0.2030 0.8258 0.5001 [4 per cell]